Computed powder diffraction line list of Na6AlO4 for CuKα, from a cell relaxed with PBE.

Structural model:
abc: 7.9674 7.9674 5.7630
angles: 90.00 90.00 120.00
Space group P6_3mc (No. 186)
Unique sites:
Na 0.0808 0.5404 0.0000 (multiplicity 6)
Na 0.1310 0.2620 0.6706 (multiplicity 6)
Al 0.3333 0.6667 0.4122 (multiplicity 2)
O 0.2104 0.4209 0.3025 (multiplicity 6)
O 0.3333 0.6667 0.7241 (multiplicity 2)

Largest 12 diffraction maxima, by intensity, 2θ from 10° to 90°:
| 2theta | d_spacing | I/Imax |
| --- | --- | --- |
| 37.9 | 2.376 | 100 |
| 42.3 | 2.136 | 47 |
| 40.8 | 2.212 | 44 |
| 12.8 | 6.900 | 34 |
| 33.7 | 2.659 | 29 |
| 45.5 | 1.992 | 29 |
| 71.0 | 1.328 | 19 |
| 67.5 | 1.387 | 17 |
| 70.1 | 1.342 | 15 |
| 49.2 | 1.851 | 14 |
| 54.7 | 1.678 | 14 |
| 20.1 | 4.423 | 12 |



Computed powder diffraction line list of NaAlO for CuKα, from a cell relaxed with PBE.

Structural model:
abc: 4.8280 5.3164 7.3874
angles: 90.00 90.00 90.00
Space group I2_12_12_1 (No. 24)
Unique sites:
Na 0.0000 0.2500 0.1363 (multiplicity 4)
Al 0.0000 0.2500 0.6031 (multiplicity 4)
O 0.1203 0.5000 0.7500 (multiplicity 4)

Largest 12 diffraction maxima, by intensity, 2θ from 10° to 90°:
| 2theta | d_spacing | I/Imax |
| --- | --- | --- |
| 34.9 | 2.569 | 100 |
| 61.1 | 1.517 | 30 |
| 37.2 | 2.414 | 22 |
| 51.1 | 1.787 | 15 |
| 65.7 | 1.422 | 15 |
| 33.7 | 2.658 | 13 |
| 73.8 | 1.284 | 8 |
| 22.0 | 4.041 | 8 |
| 82.9 | 1.164 | 8 |
| 24.9 | 3.574 | 7 |
| 85.7 | 1.134 | 7 |
| 63.4 | 1.467 | 6 |



Computed powder diffraction line list of NaAlO for CuKα, from a cell relaxed with PBE.

Structural model:
abc: 5.6006 3.2468 5.4177
angles: 90.00 90.00 90.00
Space group Pmma (No. 51)
Unique sites:
Na 0.2500 0.0000 0.2295 (multiplicity 2)
Al 0.2500 0.5000 0.7056 (multiplicity 2)
O 0.0000 0.5000 0.5000 (multiplicity 2)

Largest 12 diffraction maxima, by intensity, 2θ from 10° to 90°:
| 2theta | d_spacing | I/Imax |
| --- | --- | --- |
| 36.0 | 2.493 | 100 |
| 16.4 | 5.418 | 37 |
| 46.6 | 1.947 | 35 |
| 59.6 | 1.551 | 21 |
| 32.1 | 2.785 | 20 |
| 32.0 | 2.800 | 16 |
| 61.0 | 1.519 | 15 |
| 76.4 | 1.247 | 13 |
| 33.1 | 2.709 | 11 |
| 56.7 | 1.623 | 10 |
| 68.2 | 1.375 | 10 |
| 27.5 | 3.247 | 8 |



Computed powder diffraction line list of Na3AlO3 for CuKα, from a cell relaxed with PBE.

Structural model:
abc: 6.3873 6.0992 9.7822
angles: 90.00 93.60 90.00
Space group P2_1/c (No. 14)
Unique sites:
Na 0.0807 0.1209 0.1582 (multiplicity 4)
Na 0.3624 0.1663 0.9159 (multiplicity 4)
Na 0.3717 0.7067 0.8134 (multiplicity 4)
Al 0.1621 0.5886 0.0659 (multiplicity 4)
O 0.1174 0.0533 0.4011 (multiplicity 4)
O 0.2548 0.6450 0.5364 (multiplicity 4)
O 0.3104 0.0524 0.6930 (multiplicity 4)

Largest 12 diffraction maxima, by intensity, 2θ from 10° to 90°:
| 2theta | d_spacing | I/Imax |
| --- | --- | --- |
| 39.8 | 2.266 | 100 |
| 34.1 | 2.629 | 85 |
| 32.5 | 2.752 | 61 |
| 35.8 | 2.506 | 52 |
| 34.6 | 2.595 | 51 |
| 45.6 | 1.989 | 45 |
| 33.5 | 2.671 | 43 |
| 21.8 | 4.084 | 36 |
| 42.5 | 2.129 | 32 |
| 52.9 | 1.732 | 31 |
| 17.1 | 5.173 | 21 |
| 61.6 | 1.505 | 21 |



Computed powder diffraction line list of NaAl2OsO6 for CuKα, from a cell relaxed with PBE.

Structural model:
abc: 8.7549 11.0403 6.0308
angles: 90.00 115.02 90.00
Space group C2/c (No. 15)
Unique sites:
Na 0.0000 0.0965 0.2500 (multiplicity 4)
Al 0.1306 0.4294 0.1735 (multiplicity 8)
Os 0.0000 0.2047 0.7500 (multiplicity 4)
O 0.0984 0.2697 0.0599 (multiplicity 8)
O 0.1170 0.4525 0.4603 (multiplicity 8)
O 0.1347 0.0841 0.6981 (multiplicity 8)

Largest 12 diffraction maxima, by intensity, 2θ from 10° to 90°:
| 2theta | d_spacing | I/Imax |
| --- | --- | --- |
| 17.3 | 5.125 | 100 |
| 22.4 | 3.967 | 48 |
| 22.9 | 3.884 | 46 |
| 28.7 | 3.105 | 35 |
| 26.7 | 3.338 | 35 |
| 31.8 | 2.815 | 33 |
| 27.7 | 3.221 | 31 |
| 24.7 | 3.602 | 28 |
| 47.0 | 1.935 | 23 |
| 16.1 | 5.520 | 21 |
| 32.8 | 2.732 | 18 |
| 53.5 | 1.712 | 18 |



Q: Number 4 is which compound?
A: Na3AlO3